This entry pairs a crystal structure of Tb3DyGe4 with its simulated powder XRD pattern. Radiation: a wavelength of 1.5418 Å. Structure: a cell relaxed with GGA-PBE.
Lines closer than 0.1° are merged.

Top 10 peaks for 5° ≤ 2θ ≤ 70°, most intense first:
hkl	d_spacing	two_theta	I (rel.)
1 1 2	3.124	28.6	100
0 2 4	2.485	36.1	50
1 2 3	2.259	39.9	26
1 1 4	2.578	34.8	23
1 3 2	1.830	49.8	20
2 0 0	2.009	45.1	19
1 3 8	1.363	68.9	18
0 1 5	2.835	31.6	17
2 2 4	1.562	59.1	15
1 1 8	1.709	53.6	14

Structure:
a = 4.0172 Å, b = 6.3882 Å, c = 15.8154 Å
α = 90.00°, β = 90.00°, γ = 90.00°
Space group Immm (No. 71)
Asymmetric unit:
Tb1 0.0000 0.0000 0.0000 x2
Tb2 0.0000 0.5000 0.1958 x4
Dy1 0.0000 0.0000 0.5000 x2
Ge1 0.0000 0.3063 0.3688 x8

***

This entry pairs a crystal structure of Dy3TcGe3 with its simulated powder XRD pattern. Radiation: a wavelength of 1.5418 Å. Structure: a cell relaxed with GGA-PBE.
Lines closer than 0.1° are merged.

Top 10 peaks for 5° ≤ 2θ ≤ 70°, most intense first:
hkl	d_spacing	two_theta	I (rel.)
1 1 3	2.734	32.8	100
1 1 -4	2.698	33.2	68
3 1 2	2.250	40.1	56
0 2 0	2.116	42.7	54
3 1 -1	2.749	32.6	52
3 1 -4	2.412	37.3	41
4 0 -2	2.724	32.9	35
0 0 6	2.185	41.3	26
7 1 -3	1.461	63.7	25
3 1 -3	2.607	34.4	21

Structure:
a = 10.9033 Å, b = 4.2318 Å, c = 14.0161 Å
α = 90.00°, β = 110.73°, γ = 90.00°
Space group C2/m (No. 12)
Asymmetric unit:
Dy1 0.0219 0.0000 0.3765 x4
Dy2 0.1011 0.0000 0.9205 x4
Dy3 0.2426 0.0000 0.2305 x4
Tc1 0.2409 0.5000 0.4111 x4
Ge1 0.0450 0.5000 0.2375 x4
Ge2 0.1216 0.5000 0.0738 x4
Ge3 0.1335 0.5000 0.5453 x4